This entry pairs a crystal structure of SmYCo with its simulated powder diffraction line list. Radiation: Cu Ka. Structure: a crystal structure in Alexandria, relaxed with GGA-PBE.
Peak positions follow from Bragg's law for the DFT cell and can differ from measured ones.

Crystal structure
Cell lengths 5.8026, 3.8063, 7.0792 Å; angles 90.00, 93.74, 90.00 degrees
Fractional coordinates of all 6 atoms:
Sm: 0.1711 0.2500 0.3227
Sm: 0.8289 0.7500 0.6773
Y: 0.3508 0.2500 0.8313
Y: 0.6492 0.7500 0.1687
Co: 0.1247 0.7500 0.0404
Co: 0.8753 0.2500 0.9596

The 12 most intense peaks (2θ from 15° to 90°), by angle:
2theta, I/Imax
15.3, 23.7
28.1, 77.1
30.4, 100.0
32.7, 51.6
34.2, 28.8
34.6, 87.6
37.4, 21.7
38.8, 44.8
41.9, 43.5
45.9, 23.3
47.8, 31.2
64.4, 24.2

This entry pairs a crystal structure of RbTl3Cd2 with its simulated powder diffraction line list. Radiation: Cu Ka. Structure: a crystal structure in Alexandria, relaxed with GGA-PBE.
Peak positions follow from Bragg's law for the DFT cell and can differ from measured ones.

Crystal structure
Cell lengths 7.9261, 7.9261, 6.3899 Å; angles 90.00, 90.00, 79.48 degrees
Fractional coordinates of all 12 atoms:
Rb: 0.1458 0.8542 0.7500
Rb: 0.8542 0.1458 0.2500
Tl: 0.0737 0.6031 0.2500
Tl: 0.3969 0.9263 0.2500
Tl: 0.4967 0.5033 0.2500
Tl: 0.5033 0.4967 0.7500
Tl: 0.6031 0.0737 0.7500
Tl: 0.9263 0.3969 0.7500
Cd: 0.2647 0.2647 0.0000
Cd: 0.2647 0.2647 0.5000
Cd: 0.7353 0.7353 0.0000
Cd: 0.7353 0.7353 0.5000

The 12 most intense peaks (2θ from 15° to 90°), by angle:
2theta, I/Imax
18.0, 20.3
27.4, 100.0
27.9, 17.8
31.6, 14.3
33.1, 22.2
34.3, 40.2
35.4, 24.6
36.4, 58.0
37.4, 21.1
49.1, 15.8
53.4, 22.0
65.8, 14.6